# Tb3Nd3Tm8
Computed powder diffraction line list, Cu Kα X-rays. Input: a structure optimized by DFT (PBE).
Lines closer than 0.1° are merged.

Peak list (6 most intense, 10° ≤ 2θ ≤ 90°, low angle first)
h k l	d_spacing	Rel. int.
1 1 4	2.996	31.2
0 3 3	2.907	29.1
2 0 0	2.805	52.9
1 3 2	2.795	100.0
1 0 5	2.649	58.1
2 3 3	2.018	20.7

Cell and atoms:
```
data_Tb3Nd3Tm8
_chemical_formula_sum 'Tb6 Nd6 Tm16'
_space_group_name_H-M_alt 'I m m m'
_space_group_IT_number 71
_space_group_name_Hall '-I 2 2'
_cell_length_a 5.6095
_cell_length_b 10.7090
_cell_length_c 15.0235
_cell_angle_alpha 90.00
_cell_angle_beta 90.00
_cell_angle_gamma 90.00
loop_
_atom_site_label
_atom_site_type_symbol
_atom_site_fract_x
_atom_site_fract_y
_atom_site_fract_z
_atom_site_occupancy
Tb1 Tb 0.0000 0.0000 0.0000 1
Tb2 Tb 0.0000 0.2975 0.0000 1
Nd1 Nd 0.0000 0.0000 0.5000 1
Nd2 Nd 0.0000 0.5000 0.1855 1
Tm1 Tm 0.0000 0.1615 0.2199 1
Tm2 Tm 0.0000 0.3417 0.3975 1
```